Starting from a DFT-relaxed cell (GGA+U, Alexandria), the X-ray powder pattern of LiFeF4 was calculated for Cu Kα X-rays.

Main lines, low angle first (2θ = 5–70°):
h k l  d (Å)  intensity
0 2 0  5.852  43
0 2 1  3.749  53
1 1 1  3.202  100
1 3 0  2.962  40
1 4 1  2.198  46
2 4 1  1.686  39

Cell: 4.551 11.705 4.882 Å, 90.00 90.00 90.00°
Space group Pbcn (No. 60)
Inequivalent atoms, fractional coordinates:
Li (0.000, 0.056, 0.250)
Fe (0.000, 0.324, 0.250)
F (0.231, 0.194, 0.075)
F (0.249, 0.433, 0.085)